Calculated powder X-ray diffraction pattern of LaO3 for CuKα, from a structure optimized by DFT (PBE).
Neutral-atom scattering factors, no anomalous dispersion.

Cell and atoms:
```
LaO3
1.0
4.661 0.000 0.000
-2.192 4.360 0.000
-0.200 -2.694 7.101
La O
2 6
direct
0.117 0.255 0.263 La
0.883 0.745 0.737 La
0.308 0.183 0.042 O
0.317 0.916 0.392 O
0.441 0.692 0.655 O
0.559 0.308 0.345 O
0.683 0.084 0.608 O
0.692 0.817 0.958 O
```

Top 10 peaks for 2θ = 10–90°, sorted by position:
(hkl)  d/Å  intensity
0 1 -1  4.245  100
1 0 0  4.087  21
1 -1 0  4.004  30
1 0 -1  3.879  38
1 -1 1  3.754  31
0 0 2  3.550  44
1 0 1  3.278  34
0 1 1  3.093  46
1 0 -2  2.978  25
0 1 -3  2.463  24